Diffraction record for Pu4ZnPd3. The XRD peak list is theoretical, not measured: it uses a DFT-relaxed cell (GGA-PBE, Alexandria) and Cu Kα (weighted mean of Kα1 and Kα2).
Intensities are scaled so that the largest is 100.

Most intense lines, 2θ from 15° to 90°, in order of rising 2θ:
d [Å]	Rel. int.	index
3.749	25	0 1 2
2.651	67	0 2 0
2.389	100	1 1 2
2.015	10	1 2 0
1.875	24	0 2 4
1.475	45	1 3 2
1.338	16	2 2 0
1.195	11	2 2 4
1.186	11	0 4 4
1.159	10	1 3 6

Atomic structure:
```
data_Pu4ZnPd3
_space_group_name_H-M_alt 'P m m m'
_space_group_IT_number 47
_cell_length_a 3.101
_cell_length_b 5.305
_cell_length_c 10.598
_cell_angle_alpha 90.00
_cell_angle_beta 90.00
_cell_angle_gamma 90.00
loop_
_space_group_symop_operation_xyz
'x,y,z'
'-x,-y,-z'
'-x,-y,z'
'x,y,-z'
'x,-y,-z'
'-x,y,z'
'-x,y,-z'
'x,-y,z'
loop_
_atom_site_label
_atom_site_fract_x
_atom_site_fract_y
_atom_site_fract_z
Pu1 0.000 0.000 0.000
Pu2 0.000 0.000 0.500
Pu3 0.000 0.500 0.245
Zn1 0.500 0.500 0.500
Pd1 0.500 0.000 0.250
Pd2 0.500 0.500 0.000
```

=====

Diffraction record for La4Ga12Ag. The XRD peak list is theoretical, not measured: it uses a DFT-relaxed cell (GGA-PBE, Alexandria) and Cu Kα (weighted mean of Kα1 and Kα2).
Intensities are scaled so that the largest is 100.

Most intense lines, 2θ from 15° to 90°, in order of rising 2θ:
d [Å]	Rel. int.	index
3.182	34	2 2 0
2.846	10	3 1 0
2.598	100	2 2 2
2.406	17	3 2 1
2.250	68	4 0 0
1.919	14	3 3 2
1.591	37	4 4 0
1.423	13	6 2 0
1.357	27	6 2 2
1.299	10	4 4 4

Atomic structure:
```
data_La4Ga12Ag
_space_group_name_H-M_alt 'I m -3 m'
_space_group_IT_number 229
_space_group_name_Hall '-I 4 2 3'
_cell_length_a 9.001
_cell_length_b 9.001
_cell_length_c 9.001
_cell_angle_alpha 90.00
_cell_angle_beta 90.00
_cell_angle_gamma 90.00
loop_
_atom_site_label
_atom_site_fract_x
_atom_site_fract_y
_atom_site_fract_z
La1 0.250 0.250 0.250
Ga1 0.000 0.000 0.308
Ga2 0.000 0.250 0.500
Ag1 0.000 0.000 0.000
```

=====

> Which formula does entry 1 have?

Pu4ZnPd3